Entry 1:
For K3Ac3PaSe8, a DFT-relaxed cell (GGA-PBE, Alexandria) gives the computed XRD peak list in this record (Cu Kα (weighted mean of Kα1 and Kα2)).
Lines closer than 0.1° are merged.

Structural model:
```
data_K3Ac3PaSe8
_symmetry_space_group_name_H-M 'P 1'
_symmetry_Int_Tables_number 1
_cell_length_a 9.3695
_cell_length_b 9.3695
_cell_length_c 9.3695
_cell_angle_alpha 57.63
_cell_angle_beta 57.63
_cell_angle_gamma 57.63
loop_
_symmetry_equiv_pos_as_xyz
'x,y,z'
loop_
_atom_site_label
_atom_site_type_symbol
_atom_site_fract_x
_atom_site_fract_y
_atom_site_fract_z
K1 K 0.0000 0.5000 0.5000
K2 K 0.5000 0.0000 0.5000
K3 K 0.5000 0.5000 0.0000
Ac1 Ac 0.0000 0.0000 0.5000
Ac2 Ac 0.0000 0.5000 0.0000
Ac3 Ac 0.5000 0.0000 0.0000
Pa1 Pa 0.5000 0.5000 0.5000
Se1 Se 0.2394 0.2394 0.2394
Se2 Se 0.2571 0.7233 0.7233
Se3 Se 0.2767 0.2767 0.7429
Se4 Se 0.2767 0.7429 0.2767
Se5 Se 0.7233 0.2571 0.7233
Se6 Se 0.7233 0.7233 0.2571
Se7 Se 0.7429 0.2767 0.2767
Se8 Se 0.7606 0.7606 0.7606
```

Principal peaks in the range 10° ≤ 2θ ≤ 90°, by angle:
| two_theta | I_rel |
| --- | --- |
| 11.37 | 82.1 |
| 23.06 | 29.0 |
| 27.45 | 100.0 |
| 35.36 | 25.8 |
| 38.48 | 34.9 |
| 39.93 | 37.6 |
| 41.65 | 22.5 |
| 49.14 | 19.5 |


Entry 2:
For KAc2PbSe4, a DFT-relaxed cell (GGA-PBE, Alexandria) gives the computed XRD peak list in this record (Cu Kα (weighted mean of Kα1 and Kα2)).
Lines closer than 0.1° are merged.

Structural model:
```
data_KAc2PbSe4
_symmetry_space_group_name_H-M 'P 1'
_symmetry_Int_Tables_number 1
_cell_length_a 6.3568
_cell_length_b 6.3568
_cell_length_c 12.7923
_cell_angle_alpha 90.00
_cell_angle_beta 90.00
_cell_angle_gamma 90.00
loop_
_symmetry_equiv_pos_as_xyz
'x,y,z'
loop_
_atom_site_label
_atom_site_type_symbol
_atom_site_fract_x
_atom_site_fract_y
_atom_site_fract_z
K1 K 0.0000 0.0000 0.0000
K2 K 0.5000 0.5000 0.5000
Ac1 Ac 0.0000 0.0000 0.5000
Ac2 Ac 0.0000 0.5000 0.2500
Ac3 Ac 0.5000 0.0000 0.7500
Ac4 Ac 0.5000 0.5000 0.0000
Pb1 Pb 0.0000 0.5000 0.7500
Pb2 Pb 0.5000 0.0000 0.2500
Se1 Se 0.0000 0.0000 0.2569
Se2 Se 0.0000 0.0000 0.7431
Se3 Se 0.0000 0.5000 0.0033
Se4 Se 0.0000 0.5000 0.4967
Se5 Se 0.5000 0.0000 0.5033
Se6 Se 0.5000 0.0000 0.9967
Se7 Se 0.5000 0.5000 0.2431
Se8 Se 0.5000 0.5000 0.7569
```

Principal peaks in the range 10° ≤ 2θ ≤ 90°, by angle:
| two_theta | I_rel |
| --- | --- |
| 24.20 | 37.1 |
| 27.90 | 50.5 |
| 28.07 | 100.0 |
| 39.99 | 77.4 |
| 40.12 | 38.6 |
| 49.57 | 41.8 |
| 65.64 | 36.3 |
| 72.81 | 26.9 |


Entry 3:
For K2AcTlPb2, a DFT-relaxed cell (GGA-PBE, Alexandria) gives the computed XRD peak list in this record (Cu Kα (weighted mean of Kα1 and Kα2)).
Lines closer than 0.1° are merged.

Structural model:
```
data_K2AcTlPb2
_symmetry_space_group_name_H-M 'P 1'
_symmetry_Int_Tables_number 1
_cell_length_a 5.1037
_cell_length_b 10.5171
_cell_length_c 8.4539
_cell_angle_alpha 90.00
_cell_angle_beta 90.00
_cell_angle_gamma 90.00
loop_
_symmetry_equiv_pos_as_xyz
'x,y,z'
loop_
_atom_site_label
_atom_site_type_symbol
_atom_site_fract_x
_atom_site_fract_y
_atom_site_fract_z
K1 K 0.0000 0.0770 0.0000
K2 K 0.0000 0.9230 0.5000
K3 K 0.5000 0.1643 0.3179
K4 K 0.5000 0.8357 0.8179
Ac1 Ac 0.5000 0.4566 0.9561
Ac2 Ac 0.5000 0.5434 0.4561
Tl1 Tl 0.0000 0.3249 0.6217
Tl2 Tl 0.0000 0.6751 0.1217
Pb1 Pb 0.0000 0.3860 0.2373
Pb2 Pb 0.0000 0.6140 0.7373
Pb3 Pb 0.5000 0.1806 0.7335
Pb4 Pb 0.5000 0.8194 0.2335
```

Principal peaks in the range 10° ≤ 2θ ≤ 90°, by angle:
| two_theta | I_rel |
| --- | --- |
| 13.44 | 32.0 |
| 22.03 | 32.4 |
| 26.52 | 34.8 |
| 27.07 | 29.4 |
| 28.71 | 100.0 |
| 30.95 | 76.3 |
| 35.17 | 45.8 |
| 36.18 | 40.2 |


Entry 4:
For KAc2Pt, a DFT-relaxed cell (GGA-PBE, Alexandria) gives the computed XRD peak list in this record (Cu Kα (weighted mean of Kα1 and Kα2)).
Lines closer than 0.1° are merged.

Structural model:
```
data_KAc2Pt
_symmetry_space_group_name_H-M 'P 1'
_symmetry_Int_Tables_number 1
_cell_length_a 4.4626
_cell_length_b 4.4626
_cell_length_c 35.6896
_cell_angle_alpha 90.00
_cell_angle_beta 90.00
_cell_angle_gamma 120.00
loop_
_symmetry_equiv_pos_as_xyz
'x,y,z'
loop_
_atom_site_label
_atom_site_type_symbol
_atom_site_fract_x
_atom_site_fract_y
_atom_site_fract_z
K1 K 0.0000 0.0000 0.0000
K2 K 0.3333 0.6667 0.6667
K3 K 0.6667 0.3333 0.3333
Ac1 Ac 0.0000 0.0000 0.1223
Ac2 Ac 0.0000 0.0000 0.8777
Ac3 Ac 0.3333 0.6667 0.5444
Ac4 Ac 0.3333 0.6667 0.7890
Ac5 Ac 0.6667 0.3333 0.2110
Ac6 Ac 0.6667 0.3333 0.4556
Pt1 Pt 0.0000 0.0000 0.5000
Pt2 Pt 0.3333 0.6667 0.1667
Pt3 Pt 0.6667 0.3333 0.8333
```

Principal peaks in the range 10° ≤ 2θ ≤ 90°, by angle:
| two_theta | I_rel |
| --- | --- |
| 23.55 | 26.6 |
| 26.22 | 77.7 |
| 30.61 | 100.0 |
| 40.30 | 29.6 |
| 40.42 | 48.1 |
| 41.16 | 40.6 |
| 47.04 | 31.7 |
| 51.54 | 23.7 |